Starting from a structure optimized by DFT (PBE), the X-ray powder pattern of DyTm2Al3Cu2Pd was simulated for Cu Ka.
Lines closer than 0.1° are merged.

Cell and atoms:
a = 4.0632 Å, b = 12.1061 Å, c = 6.9970 Å
α = 90.00°, β = 90.00°, γ = 90.00°
Space group Amm2 (No. 38)
One atom of each set of equivalent atoms:
Dy1 0.0000 0.0000 0.0000
Tm1 0.0000 0.2089 0.3733
Al1 0.5000 0.0000 0.3415
Al2 0.5000 0.1203 0.7010
Cu1 0.5000 0.1685 0.0823
Pd1 0.0000 0.0000 0.5786

Peak list (12 most intense, 2θ = 15–90°, sorted by position)
(1 0 0), 2θ 21.87, intensity 31.8
(0 0 2), 2θ 25.47, intensity 29.3
(0 4 0), 2θ 29.50, intensity 37.8
(1 0 2), 2θ 33.82, intensity 75.1
(1 2 2), 2θ 37.02, intensity 100.0
(0 5 1), 2θ 39.36, intensity 24.0
(2 0 0), 2θ 44.60, intensity 23.0
(0 3 3), 2θ 44.90, intensity 17.6
(1 5 1), 2θ 45.48, intensity 19.1
(0 2 4), 2θ 54.64, intensity 19.8
(1 2 4), 2θ 59.55, intensity 28.8
(1 8 2), 2θ 71.80, intensity 18.4